Starting from DFT lattice parameters and positions (GGA+U), the powder diffraction line list of Li2VFe3O8 was calculated for Cu Kα, 1.54184 Å.
No peak broadening, texture or thermal motion is included.

The 10 most intense peaks (15° ≤ 2θ ≤ 90°), by angle:
- 18.1°, d 4.896, I 100, hkl 1 1 1
- 35.1°, d 2.557, I 48, hkl 3 1 1
- 36.7°, d 2.448, I 11, hkl 2 2 2
- 42.6°, d 2.120, I 57, hkl 4 0 0
- 46.7°, d 1.946, I 11, hkl 3 3 1
- 56.4°, d 1.632, I 21, hkl 5 1 1
- 61.9°, d 1.499, I 34, hkl 4 4 0
- 65.1°, d 1.434, I 14, hkl 5 3 1
- 78.1°, d 1.224, I 9, hkl 4 4 4
- 88.6°, d 1.104, I 8, hkl 5 5 3

Cell and atoms:
a = 8.481 Å, b = 8.481 Å, c = 8.481 Å
α = 90.00°, β = 90.00°, γ = 90.00°
Space group P4_332 (No. 212)
Asymmetric unit:
Li1 0.001 0.499 0.501
V1 0.125 0.875 0.375
Fe1 0.125 0.125 0.625
O1 0.101 0.382 0.119
O2 0.112 0.612 0.888